# 1
Diffraction record for SrAg2SeO4. The XRD peak list is calculated, not measured: it uses the GGA-PBE geometry in Alexandria and a wavelength of 1.5418 Å.
Lines closer than 0.1° are merged.

Structural model:
```
data_SrAg2SeO4
_chemical_formula_sum 'Sr2 Ag4 Se2 O8'
_cell_length_a 6.7746
_cell_length_b 6.7746
_cell_length_c 8.1573
_cell_angle_alpha 119.68
_cell_angle_beta 119.68
_cell_angle_gamma 65.48
_space_group_name_H-M_alt 'P 1'
_space_group_IT_number 1
_space_group_name_Hall 'P 1'
loop_
_atom_site_label
_atom_site_fract_x
_atom_site_fract_y
_atom_site_fract_z
Sr1 0.0547 0.0547 0.3225
Sr2 0.9453 0.9453 0.6775
Ag1 0.4596 0.0744 0.2101
Ag2 0.4693 0.4126 0.6177
Ag3 0.5874 0.5307 0.3823
Ag4 0.9256 0.5404 0.7899
Se1 0.4824 0.0458 0.8159
Se2 0.9542 0.5176 0.1841
O1 0.0989 0.2099 0.0959
O2 0.1058 0.2105 0.6855
O3 0.1929 0.6252 0.2652
O4 0.3748 0.8071 0.7348
O5 0.4967 0.0434 0.6007
O6 0.7895 0.8942 0.3145
O7 0.7901 0.9011 0.9041
O8 0.9566 0.5033 0.3993
```

Main lines, sorted by position (15 to 90 degrees two-theta):
Position (°2θ)  I_rel
16.35  20
27.04  35
27.86  30
29.47  27
31.19  100
31.69  51
32.78  16
33.05  52
33.26  57
38.55  20
44.13  17
48.29  27

# 2
Diffraction record for Er5GeSe4. The XRD peak list is calculated, not measured: it uses the GGA-PBE geometry in Alexandria and a wavelength of 1.5418 Å.
Lines closer than 0.1° are merged.

Structural model:
```
data_Er5GeSe4
_chemical_formula_sum 'Er5 Ge1 Se4'
_cell_length_a 10.7421
_cell_length_b 10.7421
_cell_length_c 10.7421
_cell_angle_alpha 158.14
_cell_angle_beta 149.10
_cell_angle_gamma 38.17
_space_group_name_H-M_alt 'P 1'
_space_group_IT_number 1
_space_group_name_Hall 'P 1'
loop_
_atom_site_label
_atom_site_fract_x
_atom_site_fract_y
_atom_site_fract_z
Er1 0.0000 0.0000 0.0000
Er2 0.1997 0.1997 0.0000
Er3 0.4047 0.4047 0.0000
Er4 0.5953 0.5953 0.0000
Er5 0.8003 0.8003 0.0000
Ge1 0.5000 0.0000 0.5000
Se1 0.1016 0.6016 0.5000
Se2 0.3002 0.8002 0.5000
Se3 0.6998 0.1998 0.5000
Se4 0.8984 0.3984 0.5000
```

Main lines, sorted by position (15 to 90 degrees two-theta):
Position (°2θ)  I_rel
26.89  36
31.10  100
31.26  50
44.48  19
44.67  92
55.37  20
55.49  19
64.84  12
73.75  24
74.00  16
82.06  13
82.31  18

# 3
Diffraction record for Ac3Zn8Ga3. The XRD peak list is calculated, not measured: it uses the GGA-PBE geometry in Alexandria and a wavelength of 1.5418 Å.
Lines closer than 0.1° are merged.

Structural model:
```
data_Ac3Zn8Ga3
_chemical_formula_sum 'Ac3 Zn8 Ga3'
_cell_length_a 8.6568
_cell_length_b 8.6568
_cell_length_c 9.4632
_cell_angle_alpha 123.07
_cell_angle_beta 123.07
_cell_angle_gamma 30.98
_space_group_name_H-M_alt 'P 1'
_space_group_IT_number 1
_space_group_name_Hall 'P 1'
loop_
_atom_site_label
_atom_site_fract_x
_atom_site_fract_y
_atom_site_fract_z
Ac1 0.0000 0.0000 0.0000
Ac2 0.3068 0.3068 0.3057
Ac3 0.6932 0.6932 0.6943
Zn1 0.1439 0.1439 0.8713
Zn2 0.1505 0.1505 0.4218
Zn3 0.3404 0.3404 0.9816
Zn4 0.4988 0.4988 0.2896
Zn5 0.5012 0.5012 0.7104
Zn6 0.6596 0.6596 0.0184
Zn7 0.8495 0.8495 0.5782
Zn8 0.8561 0.8561 0.1287
Ga1 0.0000 0.0000 0.5000
Ga2 0.3433 0.3433 0.7112
Ga3 0.6567 0.6567 0.2888
```

Main lines, sorted by position (15 to 90 degrees two-theta):
Position (°2θ)  I_rel
21.39  22
21.54  17
27.40  25
33.41  100
33.85  17
34.44  44
38.05  15
38.96  33
39.31  21
53.02  15
56.54  14
67.06  19

# 4
Diffraction record for Y12AlFe6. The XRD peak list is calculated, not measured: it uses the GGA-PBE geometry in Alexandria and a wavelength of 1.5418 Å.
Lines closer than 0.1° are merged.

Structural model:
```
data_Y12AlFe6
_chemical_formula_sum 'Y12 Al1 Fe6'
_cell_length_a 8.4226
_cell_length_b 8.4226
_cell_length_c 8.4226
_cell_angle_alpha 109.47
_cell_angle_beta 109.47
_cell_angle_gamma 109.47
_space_group_name_H-M_alt 'P 1'
_space_group_IT_number 1
_space_group_name_Hall 'P 1'
loop_
_atom_site_label
_atom_site_fract_x
_atom_site_fract_y
_atom_site_fract_z
Y1 0.1026 0.8062 0.2964
Y2 0.1938 0.2964 0.4902
Y3 0.1938 0.7036 0.8974
Y4 0.2964 0.1026 0.8062
Y5 0.2964 0.4902 0.1938
Y6 0.4902 0.1938 0.2964
Y7 0.5098 0.8062 0.7036
Y8 0.7036 0.5098 0.8062
Y9 0.7036 0.8974 0.1938
Y10 0.8062 0.2964 0.1026
Y11 0.8062 0.7036 0.5098
Y12 0.8974 0.1938 0.7036
Al1 0.0000 0.0000 0.0000
Fe1 0.1093 0.6093 0.5000
Fe2 0.3907 0.5000 0.8907
Fe3 0.5000 0.1093 0.6093
Fe4 0.5000 0.8907 0.3907
Fe5 0.6093 0.5000 0.1093
Fe6 0.8907 0.3907 0.5000
```

Main lines, sorted by position (15 to 90 degrees two-theta):
Position (°2θ)  I_rel
29.03  23
31.88  53
34.51  100
36.97  22
39.30  12
47.68  25
55.06  31
56.80  12
58.50  26
68.18  18
84.54  11
85.98  15

# 5
Diffraction record for TbPm2Pr8. The XRD peak list is calculated, not measured: it uses the GGA-PBE geometry in Alexandria and a wavelength of 1.5418 Å.
Lines closer than 0.1° are merged.

Structural model:
```
data_TbPm2Pr8
_chemical_formula_sum 'Tb1 Pm2 Pr8'
_cell_length_a 9.6090
_cell_length_b 9.6090
_cell_length_c 9.6090
_cell_angle_alpha 144.96
_cell_angle_beta 128.14
_cell_angle_gamma 64.12
_space_group_name_H-M_alt 'P 1'
_space_group_IT_number 1
_space_group_name_Hall 'P 1'
loop_
_atom_site_label
_atom_site_fract_x
_atom_site_fract_y
_atom_site_fract_z
Tb1 0.0000 0.0000 0.0000
Pm1 0.2988 0.2988 0.0000
Pm2 0.7012 0.7012 0.0000
Pr1 0.1589 0.8641 0.2948
Pr2 0.1600 0.6600 0.5000
Pr3 0.2926 0.5000 0.7926
Pr4 0.4307 0.1359 0.2948
Pr5 0.5693 0.8641 0.7052
Pr6 0.7074 0.5000 0.2074
Pr7 0.8400 0.3400 0.5000
Pr8 0.8411 0.1359 0.7052
```

Main lines, sorted by position (15 to 90 degrees two-theta):
Position (°2θ)  I_rel
28.84  31
30.92  37
31.04  100
31.52  16
32.43  13
33.00  13
45.42  10
45.84  10
51.03  11
55.06  20
60.87  13
61.84  13

# 6
Diffraction record for Dy19Er6Sc4. The XRD peak list is calculated, not measured: it uses the GGA-PBE geometry in Alexandria and a wavelength of 1.5418 Å.
Lines closer than 0.1° are merged.

Structural model:
```
data_Dy19Er6Sc4
_chemical_formula_sum 'Dy19 Er6 Sc4'
_cell_length_a 10.6276
_cell_length_b 10.6276
_cell_length_c 10.6276
_cell_angle_alpha 109.47
_cell_angle_beta 109.47
_cell_angle_gamma 109.47
_space_group_name_H-M_alt 'P 1'
_space_group_IT_number 1
_space_group_name_Hall 'P 1'
loop_
_atom_site_label
_atom_site_fract_x
_atom_site_fract_y
_atom_site_fract_z
Dy1 0.0000 0.0000 0.0000
Dy2 0.0000 0.2602 0.2602
Dy3 0.0000 0.7398 0.7398
Dy4 0.0172 0.2121 0.6742
Dy5 0.1948 0.9828 0.6569
Dy6 0.2121 0.6742 0.0172
Dy7 0.2602 0.0000 0.2602
Dy8 0.2602 0.2602 0.0000
Dy9 0.3258 0.5379 0.3431
Dy10 0.3431 0.3258 0.5379
Dy11 0.4621 0.7879 0.8052
Dy12 0.5379 0.3431 0.3258
Dy13 0.6569 0.1948 0.9828
Dy14 0.6742 0.0172 0.2121
Dy15 0.7398 0.0000 0.7398
Dy16 0.7398 0.7398 0.0000
Dy17 0.7879 0.8052 0.4621
Dy18 0.8052 0.4621 0.7879
Dy19 0.9828 0.6569 0.1948
Er1 0.1283 0.5000 0.6283
Er2 0.3717 0.8717 0.5000
Er3 0.5000 0.3717 0.8717
Er4 0.5000 0.6283 0.1283
Er5 0.6283 0.1283 0.5000
Er6 0.8717 0.5000 0.3717
Sc1 0.0000 0.0000 0.3543
Sc2 0.0000 0.3543 0.0000
Sc3 0.3543 0.0000 0.0000
Sc4 0.6457 0.6457 0.6457
```

Main lines, sorted by position (15 to 90 degrees two-theta):
Position (°2θ)  I_rel
22.92  24
27.19  94
29.11  92
30.92  83
35.85  61
37.37  100
42.98  24
48.05  35
52.75  23
54.99  25
61.38  41
62.40  23